Structure and theoretical X-ray powder pattern of Hf3Re2Os2 (DFT lattice parameters and positions (GGA-PBE); λ = 1.5418 Å (Cu Kα)).
Intensities are scaled so that the largest is 100.

abc: 4.5026 4.5026 21.9252
angles: 90.00 90.00 120.00
Space group R3m (No. 160, hexagonal axes)
Asymmetric unit:
Hf 0.0000 0.0000 0.0000 x3
Hf 0.0000 0.0000 0.2479 x3
Hf 0.0000 0.0000 0.4962 x3
Re 0.0000 0.0000 0.1190 x3
Re 0.0000 0.0000 0.6263 x3
Os 0.0000 0.0000 0.3772 x3
Os 0.0000 0.0000 0.8717 x3

The 10 most intense peaks (2θ from 10° to 90°), by intensity:
2theta	intensity
40.1	100
40.2	97
72.9	34
58.1	34
72.8	18
73.2	16
86.4	12
86.9	11
30.7	8
24.2	8



Structure and theoretical X-ray powder pattern of Hf5ReOs4 (DFT lattice parameters and positions (GGA-PBE); λ = 1.5418 Å (Cu Kα)).
Intensities are scaled so that the largest is 100.

abc: 3.248 3.248 16.311
angles: 90.00 90.00 90.00
Space group P4/mmm (No. 123)
Asymmetric unit:
Hf 0.000 0.000 0.000 x1
Hf 0.000 0.000 0.200 x2
Hf 0.000 0.000 0.401 x2
Re 0.500 0.500 0.500 x1
Os 0.500 0.500 0.099 x2
Os 0.500 0.500 0.298 x2

The 7 most intense peaks (2θ from 10° to 90°), by intensity:
2theta	intensity
39.2	100
71.0	24
70.9	12
56.7	12
84.1	8
56.4	6
84.3	4



Structure and theoretical X-ray powder pattern of Hf2Sb2Os3 (DFT lattice parameters and positions (GGA-PBE); λ = 1.5418 Å (Cu Kα)).
Intensities are scaled so that the largest is 100.

abc: 4.5161 4.5161 22.0783
angles: 90.00 90.00 120.00
Space group R3m (No. 160, hexagonal axes)
Asymmetric unit:
Hf 0.0000 0.0000 0.0000 x3
Hf 0.0000 0.0000 0.4920 x3
Sb 0.0000 0.0000 0.2395 x3
Sb 0.0000 0.0000 0.7494 x3
Os 0.0000 0.0000 0.3681 x3
Os 0.0000 0.0000 0.6193 x3
Os 0.0000 0.0000 0.8731 x3

The 10 most intense peaks (2θ from 10° to 90°), by intensity:
2theta	intensity
40.0	100
72.5	26
57.8	17
24.2	9
72.7	8
12.0	6
86.1	6
86.3	5
36.6	5
47.2	5